KBaLi: theoretical powder diffractogram (Cu Kα X-rays), based on a DFT-relaxed cell (GGA-PBE, Alexandria).
Neutral-atom scattering factors, no anomalous dispersion.

a = 5.2313 Å, b = 24.0232 Å, c = 5.1029 Å
α = 90.00°, β = 90.00°, γ = 90.00°
Positions (direct):
K  0.0000  0.1985  0.2500
K  0.0000  0.8015  0.7500
K  0.5000  0.3015  0.7500
K  0.5000  0.6985  0.2500
Ba  0.0000  0.4214  0.2500
Ba  0.0000  0.5786  0.7500
Ba  0.5000  0.0786  0.7500
Ba  0.5000  0.9214  0.2500
Li  0.0000  0.0351  0.2500
Li  0.0000  0.9649  0.7500
Li  0.5000  0.4649  0.7500
Li  0.5000  0.5351  0.2500

Largest 10 diffraction maxima, low angle first, 10 to 80 degrees two-theta:
- 2θ = 17.35°, rel. 72
- 2θ = 18.89°, rel. 42
- 2θ = 22.87°, rel. 100
- 2θ = 24.65°, rel. 72
- 2θ = 25.17°, rel. 69
- 2θ = 26.83°, rel. 66
- 2θ = 39.46°, rel. 32
- 2θ = 41.60°, rel. 53
- 2θ = 41.93°, rel. 52
- 2θ = 43.74°, rel. 30

CaMgW: theoretical powder diffractogram (Cu Kα X-rays), based on a DFT-relaxed cell (GGA-PBE, Alexandria).
Neutral-atom scattering factors, no anomalous dispersion.

a = 3.8348 Å, b = 4.3024 Å, c = 15.3360 Å
α = 90.00°, β = 90.00°, γ = 90.00°
Positions (direct):
Ca  0.0000  0.0000  0.0000
Ca  0.0000  0.5000  0.5000
Ca  0.5000  0.0000  0.5000
Ca  0.5000  0.5000  0.0000
Mg  0.0000  0.0000  0.6916
Mg  0.0000  0.5000  0.1916
Mg  0.5000  0.0000  0.1916
Mg  0.5000  0.5000  0.6916
W  0.0000  0.0000  0.3370
W  0.0000  0.5000  0.8370
W  0.5000  0.0000  0.8370
W  0.5000  0.5000  0.3370

Largest 10 diffraction maxima, low angle first, 10 to 80 degrees two-theta:
- 2θ = 11.54°, rel. 100
- 2θ = 23.20°, rel. 16
- 2θ = 31.80°, rel. 33
- 2θ = 35.11°, rel. 18
- 2θ = 35.96°, rel. 71
- 2θ = 42.00°, rel. 12
- 2θ = 43.23°, rel. 20
- 2θ = 47.42°, rel. 13
- 2θ = 63.54°, rel. 12
- 2θ = 65.18°, rel. 10

Er4AgSb: theoretical powder diffractogram (Cu Kα X-rays), based on a DFT-relaxed cell (GGA-PBE, Alexandria).
Neutral-atom scattering factors, no anomalous dispersion.

a = 8.0932 Å, b = 8.0932 Å, c = 8.0932 Å
α = 107.12°, β = 107.12°, γ = 114.29°
Positions (direct):
Er  0.1706  0.4784  0.6922
Er  0.2284  0.0362  0.8078
Er  0.2284  0.4206  0.1922
Er  0.2878  0.0000  0.2878
Er  0.7122  0.0000  0.7122
Er  0.7500  0.5378  0.7878
Er  0.7500  0.9622  0.2122
Er  0.7862  0.4784  0.3078
Ag  0.7300  0.2300  0.5000
Ag  0.9800  0.9800  0.0000
Sb  0.2499  0.7499  0.5000
Sb  0.4999  0.4999  0.0000

Largest 10 diffraction maxima, low angle first, 10 to 80 degrees two-theta:
- 2θ = 18.46°, rel. 32
- 2θ = 27.51°, rel. 100
- 2θ = 29.38°, rel. 30
- 2θ = 35.93°, rel. 42
- 2θ = 37.41°, rel. 29
- 2θ = 41.12°, rel. 18
- 2θ = 45.02°, rel. 40
- 2θ = 47.06°, rel. 19
- 2θ = 56.79°, rel. 16
- 2θ = 71.56°, rel. 16

K3RhO4: theoretical powder diffractogram (Cu Kα X-rays), based on a DFT-relaxed cell (GGA-PBE, Alexandria).
Neutral-atom scattering factors, no anomalous dispersion.

a = 8.0162 Å, b = 8.8323 Å, c = 8.7112 Å
α = 90.00°, β = 90.00°, γ = 90.00°
Positions (direct):
K  0.0468  0.0313  0.2246
K  0.0468  0.4687  0.2246
K  0.1684  0.7500  0.4833
K  0.3316  0.2500  0.9833
K  0.4532  0.5313  0.7246
K  0.4532  0.9687  0.7246
K  0.5468  0.0313  0.2754
K  0.5468  0.4687  0.2754
K  0.6684  0.7500  0.0167
K  0.8316  0.2500  0.5167
K  0.9532  0.5313  0.7754
K  0.9532  0.9687  0.7754
Rh  0.2209  0.7500  0.9953
Rh  0.2791  0.2500  0.4953
Rh  0.7209  0.7500  0.5047
Rh  0.7791  0.2500  0.0047
O  0.9995  0.2500  0.9344
O  0.0005  0.7500  0.0656
O  0.1680  0.0714  0.5398
O  0.1680  0.4286  0.5398
O  0.2008  0.7500  0.7778
O  0.2992  0.2500  0.2778
O  0.3320  0.5714  0.0398
O  0.3320  0.9286  0.0398
O  0.4995  0.2500  0.5656
O  0.5005  0.7500  0.4344
O  0.6680  0.0714  0.9602
O  0.6680  0.4286  0.9602
O  0.7008  0.7500  0.7222
O  0.7992  0.2500  0.2222
O  0.8320  0.5714  0.4602
O  0.8320  0.9286  0.4602

Largest 10 diffraction maxima, low angle first, 10 to 80 degrees two-theta:
- 2θ = 18.08°, rel. 100
- 2θ = 20.11°, rel. 20
- 2θ = 20.39°, rel. 24
- 2θ = 28.79°, rel. 88
- 2θ = 30.11°, rel. 59
- 2θ = 30.30°, rel. 62
- 2θ = 36.62°, rel. 22
- 2θ = 40.86°, rel. 24
- 2θ = 41.46°, rel. 23
- 2θ = 52.09°, rel. 24

Sm3Y2Al2: theoretical powder diffractogram (Cu Kα X-rays), based on a DFT-relaxed cell (GGA-PBE, Alexandria).
Neutral-atom scattering factors, no anomalous dispersion.

a = 8.5193 Å, b = 8.5193 Å, c = 8.5193 Å
α = 36.53°, β = 36.53°, γ = 36.53°
Positions (direct):
Sm  0.0000  0.0000  0.0000
Sm  0.1544  0.1544  0.1544
Sm  0.8456  0.8456  0.8456
Y  0.4173  0.4173  0.4173
Y  0.5827  0.5827  0.5827
Al  0.2829  0.2829  0.2829
Al  0.7171  0.7171  0.7171

Largest 10 diffraction maxima, low angle first, 10 to 80 degrees two-theta:
- 2θ = 19.56°, rel. 18
- 2θ = 26.87°, rel. 34
- 2θ = 32.67°, rel. 90
- 2θ = 33.57°, rel. 100
- 2θ = 40.72°, rel. 12
- 2θ = 47.54°, rel. 31
- 2θ = 57.88°, rel. 19
- 2θ = 59.45°, rel. 32
- 2θ = 60.02°, rel. 19
- 2θ = 79.94°, rel. 13

ErTh3Sc7: theoretical powder diffractogram (Cu Kα X-rays), based on a DFT-relaxed cell (GGA-PBE, Alexandria).
Neutral-atom scattering factors, no anomalous dispersion.

a = 6.7424 Å, b = 6.7424 Å, c = 8.0113 Å
α = 90.00°, β = 90.00°, γ = 120.00°
Positions (direct):
Er  0.0000  0.0000  0.0000
Th  0.1676  0.3353  0.6571
Th  0.1676  0.8324  0.6571
Th  0.6647  0.8324  0.6571
Sc  0.0007  0.5004  0.9985
Sc  0.3333  0.6667  0.3211
Sc  0.3358  0.1679  0.3260
Sc  0.4996  0.5004  0.9985
Sc  0.4996  0.9993  0.9985
Sc  0.8321  0.1679  0.3260
Sc  0.8321  0.6642  0.3260

Largest 10 diffraction maxima, low angle first, 10 to 80 degrees two-theta:
- 2θ = 11.04°, rel. 44
- 2θ = 15.17°, rel. 36
- 2θ = 18.81°, rel. 25
- 2θ = 28.73°, rel. 17
- 2θ = 32.64°, rel. 100
- 2θ = 33.56°, rel. 27
- 2θ = 38.14°, rel. 64
- 2θ = 54.43°, rel. 20
- 2θ = 55.67°, rel. 28
- 2θ = 65.48°, rel. 23